[1]
Computed XRD peak list of MgCoNi for CuKα, from a structure optimized by DFT (GGA-PBE).
Neutral-atom scattering factors, no anomalous dispersion.

Most intense lines, 10 to 90 degrees two-theta, sorted by position:
two_theta  d_spacing  I (rel.)
21.28  4.175  450
22.94  3.876  425
24.21  3.676  302
41.08  2.197  416
43.88  2.063  866
44.23  2.048  564
44.44  2.039  399
44.97  2.016  1000
46.88  1.938  425
49.60  1.838  455

```
MgCoNi
1.0
7.752 0.000 0.000
0.000 2.397 4.246
0.000 -2.397 4.246
Mg Co Ni
4 4 4
Cartesian
1.435 0.000 0.000 Mg
2.422 0.000 2.830 Mg
5.330 0.000 2.830 Mg
6.317 0.000 0.000 Mg
1.976 0.000 5.618 Co
3.876 -1.244 4.972 Co
3.876 1.244 4.972 Co
5.776 0.000 5.618 Co
0.000 -1.178 2.138 Ni
0.000 1.178 2.138 Ni
0.000 0.000 4.228 Ni
3.876 0.000 7.131 Ni
```

[2]
Computed XRD peak list of NbCr3Ag2S8 for CuKα, from a structure optimized by DFT (GGA-PBE).
Neutral-atom scattering factors, no anomalous dispersion.

Most intense lines, 10 to 90 degrees two-theta, sorted by position:
two_theta  d_spacing  I (rel.)
24.16  3.684  645
24.73  3.601  310
28.44  3.138  255
28.69  3.112  1000
29.17  3.061  486
34.84  2.575  261
45.41  1.997  292
45.74  1.984  417
49.49  1.842  597
50.71  1.800  526

```
NbCr3Ag2S8
1.0
3.684 2.127 5.815
-3.684 2.127 5.815
0.000 -4.254 5.815
Nb Cr Ag S
1 3 2 8
Cartesian
0.000 0.000 0.000 Nb
-3.684 0.000 8.723 Cr
-1.842 1.063 2.908 Cr
1.842 1.063 2.908 Cr
0.000 0.000 6.531 Ag
0.000 0.000 10.914 Ag
-2.015 -1.164 10.060 S
0.000 0.000 4.068 S
0.000 -2.327 7.385 S
-2.015 1.164 7.385 S
2.015 -1.164 10.060 S
0.000 2.327 10.060 S
0.000 0.000 13.377 S
2.015 1.164 7.385 S
```

[3]
Computed XRD peak list of Nd2Si2O7 for CuKα, from a structure optimized by DFT (GGA-PBE).
Neutral-atom scattering factors, no anomalous dispersion.

Most intense lines, 10 to 90 degrees two-theta, sorted by position:
two_theta  d_spacing  I (rel.)
12.23  7.239  355
26.22  3.399  1000
27.15  3.285  353
29.01  3.078  207
32.96  2.718  192
33.59  2.668  136
35.80  2.508  165
44.47  2.037  280
49.68  1.835  128
54.89  1.673  172

```
Nd2Si2O7
1.0
5.435 0.000 0.000
0.000 8.688 0.000
0.000 0.000 13.090
Nd Si O
8 8 28
Cartesian
0.039 0.470 3.033 Nd
0.073 5.616 7.711 Nd
2.645 3.072 1.166 Nd
2.679 8.218 9.578 Nd
2.757 3.874 10.057 Nd
2.790 7.416 5.379 Nd
5.363 1.272 11.924 Nd
5.397 4.813 3.512 Nd
0.124 6.508 10.743 Si
0.130 4.323 12.768 Si
2.587 4.365 6.223 Si
2.593 2.179 4.198 Si
2.842 6.523 2.347 Si
2.848 0.021 0.322 Si
5.305 8.667 6.867 Si
5.311 2.164 8.892 Si
0.071 5.870 12.251 O
0.457 4.259 1.267 O
0.550 8.077 10.801 O
1.246 7.848 7.297 O
1.283 1.924 9.699 O
1.347 5.246 5.562 O
1.346 5.856 9.853 O
1.371 2.832 3.308 O
1.371 3.442 12.107 O
1.435 6.764 3.155 O
1.471 0.839 0.752 O
2.167 0.611 4.256 O
2.260 4.429 7.812 O
2.647 2.818 5.706 O
2.789 7.162 0.839 O
3.175 0.085 11.823 O
3.268 4.955 2.289 O
3.964 5.183 5.793 O
4.001 2.420 3.390 O
4.064 7.176 3.237 O
4.064 7.786 7.527 O
4.089 0.902 0.982 O
4.089 1.512 9.781 O
4.153 6.268 9.935 O
4.189 3.505 12.338 O
4.885 3.733 8.833 O
4.978 8.603 5.278 O
5.365 1.526 7.383 O
```